For Tb2Sm2Th5, a crystal structure in Alexandria, relaxed with PBE gives the computed X-ray powder pattern in this record (Cu Kα (λ = 1.5418 Å)).
Peak positions follow from Bragg's law for the DFT cell and can differ from measured ones.

Structural model:
a b c (Å): 6.017 6.029 9.162
angles (deg): 74.47 77.34 75.79
Space group P-1 (No. 2)
Asymmetric unit:
Tb1 0.221 0.017 0.082 x2
Sm1 0.295 0.583 0.400 x2
Th1 0.087 0.492 0.799 x2
Th2 0.326 0.979 0.676 x2
Th3 0.500 0.500 0.000 x1

Principal peaks in the range 2θ from 10° to 90°, by angle:
| 2theta | Rel. int. | hkl |
| --- | --- | --- |
| 30.75 | 690 | 2 1 1 |
| 31.08 | 998 | -1 1 2 |
| 31.43 | 713 | 0 2 0 |
| 32.18 | 672 | 1 0 3 |
| 32.64 | 1000 | 1 1 -2 |
| 38.75 | 380 | 2 -1 1 |